For KLiAg2Pb, DFT lattice parameters and positions (PBE) gives the theoretical powder diffractogram in this record (λ = 1.5418 Å (Cu Kα)).
Peak positions follow from Bragg's law for the DFT cell and can differ from measured ones.

Top 10 peaks for 2θ = 10–80°, most intense first:
two_theta, I (rel.), index
13.92, 100, 0 0 1
16.25, 56, 1 0 0
35.82, 42, 2 0 1
32.84, 41, 2 0 0
43.72, 37, 2 0 2
28.05, 31, 0 0 2
21.46, 28, 1 0 1
32.59, 21, 1 0 2
55.74, 18, 2 2 2
49.38, 17, 2 2 1

Crystal structure
Cell: 5.455 5.455 6.361 Å, 90.00 90.00 90.00°
Fractional coordinates of all 5 atoms:
K 0.000 0.000 0.000
Li 0.500 0.500 0.000
Ag 0.000 0.500 0.500
Ag 0.500 0.000 0.500
Pb 0.000 0.000 0.500